# Cs3CdW2O8
Simulated powder diffractogram, a wavelength of 1.5418 Å. Input: a DFT-relaxed cell (PBE+U, Alexandria).

Largest 10 diffraction maxima, by intensity, 10 to 90 degrees two-theta:
hkl, d [Å], 2θ/deg, Rel. int.
1 1 0, 3.300, 27.02, 100.0
0 1 2, 3.411, 26.12, 84.1
2 0 2, 2.372, 37.94, 40.4
1 2 2, 1.926, 47.20, 32.0
3 0 0, 1.905, 47.74, 20.7
2 2 0, 1.650, 55.72, 16.3
3 1 2, 1.485, 62.54, 15.1
0 1 1, 4.743, 18.71, 14.9
4 1 0, 1.247, 76.36, 10.6
0 1 3, 2.539, 35.35, 10.6

Structural model:
```
Cs3CdW2O8
1.0
6.599 0.000 0.000
-3.300 5.715 0.000
0.000 0.000 8.504
Cs Cd W O
3 1 2 8
Direct
0.000 0.000 0.000
0.333 0.667 0.668
0.667 0.333 0.332
0.000 0.000 0.500
0.333 0.667 0.222
0.667 0.333 0.778
0.183 0.367 0.297
0.183 0.817 0.297
0.333 0.667 0.010
0.367 0.183 0.703
0.633 0.817 0.297
0.667 0.333 0.990
0.817 0.183 0.703
0.817 0.633 0.703
```